1.
For CaSnS3, a DFT-relaxed cell (PBE, the Materials Project) gives the computed X-ray diffraction stick pattern in this record (Cu Kα X-rays).

Principal peaks in the range 5 to 70 degrees two-theta, low angle first:
d 7.158, rel. 430, hkl 0 0 2; d 6.069, rel. 1000, hkl 0 1 1; d 4.293, rel. 610, hkl 1 0 2; d 4.019, rel. 799, hkl 1 1 1; d 3.614, rel. 398, hkl 1 1 2; d 3.578, rel. 551, hkl 0 0 4; d 3.350, rel. 409, hkl 0 2 0; d 3.153, rel. 476, hkl 0 1 4; d 2.742, rel. 507, hkl 0 2 3; d 2.721, rel. 417, hkl 1 1 4; d 2.682, rel. 837, hkl 2 0 0; d 2.062, rel. 380, hkl 1 3 0

Structural model:
```
data_CaSnS3
_chemical_formula_sum 'Ca4 Sn4 S12'
_cell_length_a 5.3642
_cell_length_b 6.7007
_cell_length_c 14.3154
_cell_angle_alpha 90.00
_cell_angle_beta 90.00
_cell_angle_gamma 90.00
_symmetry_space_group_name_H-M 'P 21 21 21'
_symmetry_Int_Tables_number 19
loop_
_symmetry_equiv_pos_as_xyz
'x,y,z'
'-x+1/2,-y,z+1/2'
'x+1/2,-y+1/2,-z'
'-x,y+1/2,-z+1/2'
loop_
_atom_site_label
_atom_site_type_symbol
_atom_site_fract_x
_atom_site_fract_y
_atom_site_fract_z
Ca1 Ca 0.2234 0.1584 0.1240
Sn1 Sn 0.2126 0.8250 0.9066
S1 S 0.2302 0.1791 0.9166
S2 S 0.2382 0.7271 0.0739
S3 S 0.2486 0.4114 0.2844
```

***

2.
For CaSnS3, a DFT-relaxed cell (PBE, the Materials Project) gives the computed X-ray diffraction stick pattern in this record (Cu Kα X-rays).

Principal peaks in the range 5 to 70 degrees two-theta, low angle first:
d 6.877, rel. 262, hkl 0 1 1; d 5.437, rel. 324, hkl 0 1 2; d 4.577, rel. 452, hkl 2 0 -2; d 3.845, rel. 480, hkl 0 0 4; d 3.729, rel. 398, hkl 0 2 1; d 3.698, rel. 1000, hkl 2 1 -3; d 3.293, rel. 243, hkl 1 2 1; d 2.842, rel. 210, hkl 2 2 -3; d 2.290, rel. 190, hkl 4 0 -2; d 2.283, rel. 272, hkl 2 1 -7; d 2.130, rel. 213, hkl 4 1 -5; d 2.107, rel. 210, hkl 4 0 -6

Structural model:
```
data_CaSnS3
_chemical_formula_sum 'Ca8 Sn8 S24'
_cell_length_a 9.2612
_cell_length_b 7.6876
_cell_length_c 16.8588
_cell_angle_alpha 90.00
_cell_angle_beta 114.16
_cell_angle_gamma 90.00
_symmetry_space_group_name_H-M 'P 1 21/c 1'
_symmetry_Int_Tables_number 14
loop_
_symmetry_equiv_pos_as_xyz
'x,y,z'
'-x,-y,-z'
'-x,y+1/2,-z+1/2'
'x,-y+1/2,z+1/2'
loop_
_atom_site_label
_atom_site_type_symbol
_atom_site_fract_x
_atom_site_fract_y
_atom_site_fract_z
Ca1 Ca 0.2337 0.0991 0.1282
Ca2 Ca 0.2409 0.5764 0.3517
Sn1 Sn 0.1251 0.0891 0.4003
Sn2 Sn 0.4418 0.6521 0.1287
S1 S 0.0248 0.1613 0.6687
S2 S 0.0371 0.1207 0.9046
S3 S 0.2793 0.0695 0.3116
S4 S 0.3195 0.1118 0.5503
S5 S 0.3916 0.5955 0.5425
S6 S 0.4344 0.6772 0.2672
```

***

3.
For CaSnS3, a DFT-relaxed cell (PBE, the Materials Project) gives the computed X-ray diffraction stick pattern in this record (Cu Kα X-rays).

Principal peaks in the range 5 to 70 degrees two-theta, low angle first:
d 6.497, rel. 393, hkl 1 0 2; d 4.992, rel. 185, hkl 0 0 4; d 4.645, rel. 171, hkl 2 0 0; d 4.374, rel. 306, hkl 2 0 -2; d 4.211, rel. 631, hkl 1 2 -1; d 4.065, rel. 201, hkl 2 0 2; d 3.896, rel. 1000, hkl 0 2 3; d 3.254, rel. 291, hkl 2 0 4; d 2.402, rel. 341, hkl 0 4 0; d 2.324, rel. 249, hkl 4 0 0; d 2.099, rel. 208, hkl 2 2 7; d 2.005, rel. 356, hkl 3 2 -7

Structural model:
```
data_CaSnS3
_chemical_formula_sum 'Ca12 Sn12 S36'
_cell_length_a 9.3322
_cell_length_b 9.6094
_cell_length_c 20.0612
_cell_angle_alpha 90.00
_cell_angle_beta 95.49
_cell_angle_gamma 90.00
_symmetry_space_group_name_H-M 'P 1 21/c 1'
_symmetry_Int_Tables_number 14
loop_
_symmetry_equiv_pos_as_xyz
'x,y,z'
'-x,-y,-z'
'-x,y+1/2,-z+1/2'
'x,-y+1/2,z+1/2'
loop_
_atom_site_label
_atom_site_type_symbol
_atom_site_fract_x
_atom_site_fract_y
_atom_site_fract_z
Ca1 Ca 0.0306 0.1248 0.2669
Ca2 Ca 0.2561 0.6199 0.6092
Ca3 Ca 0.2579 0.1309 0.6094
Sn1 Sn 0.2126 0.1499 0.9129
Sn2 Sn 0.2129 0.5991 0.9159
Sn3 Sn 0.4466 0.6256 0.2952
S1 S 0.0099 0.1001 0.8343
S2 S 0.0107 0.6509 0.8379
S3 S 0.2096 0.1242 0.0287
S4 S 0.2221 0.6228 0.0334
S5 S 0.2731 0.6257 0.1999
S6 S 0.2814 0.1240 0.3715
S7 S 0.2941 0.1253 0.1968
S8 S 0.4373 0.6744 0.8691
S9 S 0.4380 0.0800 0.8653
```

***

4.
For Ca4SnS6, a DFT-relaxed cell (PBE, the Materials Project) gives the computed X-ray diffraction stick pattern in this record (Cu Kα X-rays).

Principal peaks in the range 5 to 70 degrees two-theta, low angle first:
d 5.657, rel. 754, hkl 1 1 0; d 5.585, rel. 753, hkl 0 1 2; d 3.266, rel. 553, hkl 3 0 0; d 2.792, rel. 494, hkl 0 2 4; d 2.665, rel. 461, hkl 1 3 1; d 2.523, rel. 521, hkl 3 1 2; d 2.504, rel. 1000, hkl 2 1 4; d 2.400, rel. 529, hkl 2 2 3; d 2.138, rel. 322, hkl 4 1 0; d 2.103, rel. 170, hkl 1 1 6; d 1.875, rel. 360, hkl 3 2 4; d 1.568, rel. 240, hkl 5 2 0

Structural model:
```
data_Ca4SnS6
_chemical_formula_sum 'Ca24 Sn6 S36'
_cell_length_a 11.3148
_cell_length_b 11.3148
_cell_length_c 13.5935
_cell_angle_alpha 90.00
_cell_angle_beta 90.00
_cell_angle_gamma 120.00
_symmetry_space_group_name_H-M 'R -3 c'
_symmetry_Int_Tables_number 167
_symmetry_space_group_name_Hall '-R 3 2"c'
loop_
_atom_site_label
_atom_site_type_symbol
_atom_site_fract_x
_atom_site_fract_y
_atom_site_fract_z
Ca1 Ca 0.0000 0.0000 0.2500
Ca2 Ca 0.0000 0.3825 0.2500
Sn1 Sn 0.0000 0.0000 0.0000
S1 S 0.0421 0.2023 0.3917
```

***

5.
For CaSn2S5, a DFT-relaxed cell (PBE, the Materials Project) gives the computed X-ray diffraction stick pattern in this record (Cu Kα X-rays).

Principal peaks in the range 5 to 70 degrees two-theta, low angle first:
d 8.853, rel. 517, hkl 1 1 1; d 5.421, rel. 322, hkl 2 2 0; d 4.427, rel. 1000, hkl 2 2 2; d 3.834, rel. 378, hkl 4 0 0; d 3.518, rel. 998, hkl 3 3 1; d 3.130, rel. 335, hkl 4 2 2; d 2.711, rel. 433, hkl 4 4 0; d 2.556, rel. 950, hkl 4 4 2; d 2.147, rel. 458, hkl 5 5 1; d 1.873, rel. 341, hkl 7 3 3; d 1.807, rel. 763, hkl 6 6 0; d 1.673, rel. 571, hkl 8 4 2

Structural model:
Unit cell a=15.3342 b=15.3342 c=15.3342 alpha=90.00 beta=90.00 gamma=90.00
Space group Fd-3m (No. 227, origin choice 2)
Symmetry-distinct sites (fractional):
Ca1 0.0000 0.0000 0.0000
Sn1 0.0369 0.0369 0.7131
S1 0.0510 0.0510 0.1990
S2 0.0606 0.3750 0.8750

***

6.
For CaSnS3, a DFT-relaxed cell (PBE, the Materials Project) gives the computed X-ray diffraction stick pattern in this record (Cu Kα X-rays).

Principal peaks in the range 5 to 70 degrees two-theta, low angle first:
d 7.724, rel. 284, hkl 0 0 1; d 3.871, rel. 1000, hkl 1 1 0; d 3.463, rel. 386, hkl 1 1 1; d 2.735, rel. 137, hkl 1 1 2; d 2.575, rel. 100, hkl 0 0 3; d 2.236, rel. 435, hkl 3 0 0; d 2.145, rel. 491, hkl 1 1 3; d 1.936, rel. 310, hkl 2 2 0; d 1.688, rel. 163, hkl 3 0 3; d 1.548, rel. 143, hkl 2 2 3; d 1.464, rel. 88, hkl 4 1 0; d 1.462, rel. 111, hkl 3 0 4

Structural model:
```
data_CaSnS3
_chemical_formula_sum 'Ca3 Sn3 S9'
_cell_length_a 7.7473
_cell_length_b 7.7473
_cell_length_c 7.7245
_cell_angle_alpha 90.00
_cell_angle_beta 90.00
_cell_angle_gamma 120.00
_symmetry_space_group_name_H-M 'P -6 2 m'
_symmetry_Int_Tables_number 189
_symmetry_space_group_name_Hall 'P -6 -2'
loop_
_atom_site_label
_atom_site_type_symbol
_atom_site_fract_x
_atom_site_fract_y
_atom_site_fract_z
Ca1 Ca 0.0000 0.3321 0.0000
Sn1 Sn 0.0000 0.6668 0.5000
S1 S 0.0000 0.3326 0.5000
S2 S 0.0000 0.6648 0.1796
```